Computed powder X-ray diffraction pattern of Ac2PaS2N2 for Cu Kα X-rays, from the PBE geometry in Alexandria.
No peak broadening, texture or thermal motion is included.

Principal peaks in the range 2θ from 10° to 80°, by angle:
2θ/deg, intensity
11.23, 18.1
26.36, 100.0
28.57, 77.3
34.96, 44.8
40.85, 34.6
45.09, 14.6
49.27, 39.2
54.84, 25.1
55.11, 16.0
66.98, 14.5

Structure:
abc: 8.4783 8.4783 8.4783
angles: 149.80 149.80 43.24
Element x y z (fractional)
Ac 0.1334 0.1334 0.0000
Ac 0.8666 0.8666 0.0000
Pa 0.5000 0.5000 0.0000
S 0.3240 0.3240 0.0000
S 0.6760 0.6760 0.0000
N 0.0000 0.5000 0.5000
N 0.5000 0.0000 0.5000

Computed powder X-ray diffraction pattern of Zn4Ga for Cu Kα X-rays, from the PBE geometry in Alexandria.
No peak broadening, texture or thermal motion is included.

Principal peaks in the range 2θ from 10° to 80°, by angle:
2θ/deg, intensity
36.43, 100.0
42.11, 66.3
44.86, 27.3
45.02, 27.2
47.37, 23.3
57.25, 12.7
67.29, 15.2
67.41, 15.2
73.45, 11.4
73.68, 11.4

Structure:
abc: 4.6160 4.6160 6.1051
angles: 122.01 122.01 49.13
Element x y z (fractional)
Zn 0.1024 0.1024 0.4046
Zn 0.3046 0.3046 0.2092
Zn 0.6954 0.6954 0.7908
Zn 0.8976 0.8976 0.5954
Ga 0.5000 0.5000 0.0000

Please write out number 2 again, unchanged.
Computed powder X-ray diffraction pattern of Zn4Ga for Cu Kα X-rays, from the PBE geometry in Alexandria.
No peak broadening, texture or thermal motion is included.

Principal peaks in the range 2θ from 10° to 80°, by angle:
2θ/deg, intensity
36.43, 100.0
42.11, 66.3
44.86, 27.3
45.02, 27.2
47.37, 23.3
57.25, 12.7
67.29, 15.2
67.41, 15.2
73.45, 11.4
73.68, 11.4

Structure:
abc: 4.6160 4.6160 6.1051
angles: 122.01 122.01 49.13
Element x y z (fractional)
Zn 0.1024 0.1024 0.4046
Zn 0.3046 0.3046 0.2092
Zn 0.6954 0.6954 0.7908
Zn 0.8976 0.8976 0.5954
Ga 0.5000 0.5000 0.0000